[1]
Calculated X-ray diffraction stick pattern
Compound: Ac6In2Si
Radiation: Cu Kα (λ = 1.5418 Å)
Structure: a DFT-relaxed cell (PBE, Alexandria)
No peak broadening, texture or thermal motion is included.

Peak list (12 most intense, 2θ from 5° to 70°, sorted by position)
Position (°2θ)	d_spacing	I (rel.)
27.39	3.256	100
29.75	3.003	46
30.47	2.934	55
34.67	2.587	22
36.00	2.495	14
37.97	2.370	20
46.32	1.960	19
49.44	1.843	29
52.36	1.747	14
55.09	1.667	23
57.83	1.594	16
62.32	1.490	10

Structure:
a b c (Å): 8.963 8.963 4.739
angles (deg): 90.00 90.00 120.00
Element x y z (fractional)
Ac  0.000  0.250  0.000
Ac  0.000  0.602  0.500
Ac  0.250  0.000  0.000
Ac  0.398  0.398  0.500
Ac  0.602  0.000  0.500
Ac  0.750  0.750  0.000
In  0.333  0.667  0.000
In  0.667  0.333  0.000
Si  0.000  0.000  0.500



[2]
Calculated X-ray diffraction stick pattern
Compound: HRhBr
Radiation: Cu Kα (λ = 1.5418 Å)
Structure: a DFT-relaxed cell (PBE, Alexandria)
No peak broadening, texture or thermal motion is included.

Peak list (12 most intense, 2θ from 5° to 70°, sorted by position)
Position (°2θ)	d_spacing	I (rel.)
17.58	5.045	16
29.27	3.051	100
30.36	2.944	45
30.86	2.898	16
31.38	2.850	18
35.59	2.523	49
47.01	1.933	18
47.35	1.920	27
47.92	1.898	21
48.65	1.872	16
51.69	1.768	19
53.43	1.715	15

Structure:
a b c (Å): 6.412 6.168 7.459
angles (deg): 55.16 52.14 72.70
Element x y z (fractional)
H  0.044  0.956  0.142
H  0.108  0.392  0.206
H  0.392  0.108  0.294
H  0.956  0.044  0.858
Rh  0.067  0.741  0.010
Rh  0.068  0.240  0.509
Rh  0.240  0.068  0.183
Rh  0.741  0.067  0.182
Br  0.177  0.597  0.504
Br  0.528  0.746  0.653
Br  0.597  0.177  0.722
Br  0.746  0.528  0.073



[3]
Calculated X-ray diffraction stick pattern
Compound: Ho4TeSe3
Radiation: Cu Kα (λ = 1.5418 Å)
Structure: a DFT-relaxed cell (PBE, Alexandria)
No peak broadening, texture or thermal motion is included.

Peak list (12 most intense, 2θ from 5° to 70°, sorted by position)
Position (°2θ)	d_spacing	I (rel.)
25.45	3.500	8
26.06	3.419	15
30.05	2.974	70
31.95	2.801	100
41.51	2.175	10
44.27	2.046	30
44.47	2.037	62
47.14	1.928	10
53.04	1.727	8
54.61	1.681	13
55.80	1.647	21
64.55	1.444	10

Structure:
a b c (Å): 4.074 4.074 27.627
angles (deg): 90.00 90.00 120.00
Element x y z (fractional)
Ho  0.000  0.000  0.177
Ho  0.000  0.000  0.323
Ho  0.000  0.000  0.677
Ho  0.000  0.000  0.823
Ho  0.333  0.667  0.063
Ho  0.333  0.667  0.437
Ho  0.667  0.333  0.563
Ho  0.667  0.333  0.937
Te  0.333  0.667  0.250
Te  0.667  0.333  0.750
Se  0.000  0.000  0.000
Se  0.000  0.000  0.500
Se  0.333  0.667  0.620
Se  0.333  0.667  0.880
Se  0.667  0.333  0.120
Se  0.667  0.333  0.380



[4]
Calculated X-ray diffraction stick pattern
Compound: Tm3Tl2S6
Radiation: Cu Kα (λ = 1.5418 Å)
Structure: a DFT-relaxed cell (PBE, Alexandria)
No peak broadening, texture or thermal motion is included.

Peak list (12 most intense, 2θ from 5° to 70°, sorted by position)
Position (°2θ)	d_spacing	I (rel.)
15.46	5.732	12
17.02	5.210	9
24.55	3.626	27
27.27	3.270	56
30.83	2.900	100
42.43	2.131	38
45.84	1.979	34
49.63	1.837	15
52.68	1.737	22
54.16	1.693	9
56.27	1.635	18
64.23	1.450	11

Structure:
a b c (Å): 6.856 6.856 7.600
angles (deg): 98.61 98.61 119.96
Element x y z (fractional)
Tm  0.000  0.000  0.000
Tm  0.334  0.666  0.000
Tm  0.666  0.334  0.000
Tl  0.167  0.833  0.500
Tl  0.833  0.167  0.500
S  0.063  0.400  0.201
S  0.264  0.264  0.800
S  0.400  0.063  0.201
S  0.600  0.937  0.799
S  0.736  0.736  0.200
S  0.937  0.600  0.799



[5]
Calculated X-ray diffraction stick pattern
Compound: NbTe2W2S4
Radiation: Cu Kα (λ = 1.5418 Å)
Structure: a DFT-relaxed cell (PBE, Alexandria)
No peak broadening, texture or thermal motion is included.

Peak list (12 most intense, 2θ from 5° to 70°, sorted by position)
Position (°2θ)	d_spacing	I (rel.)
11.75	7.533	100
15.69	5.649	28
31.51	2.840	29
31.76	2.818	13
32.51	2.754	14
33.73	2.657	16
35.38	2.537	21
37.40	2.404	60
39.75	2.267	11
45.28	2.003	26
48.38	1.882	14
56.10	1.639	20

Structure:
a b c (Å): 3.279 3.279 22.598
angles (deg): 90.00 90.00 120.00
Element x y z (fractional)
Nb  0.000  0.000  0.000
Te  0.667  0.333  0.092
Te  0.667  0.333  0.908
W  0.000  0.000  0.641
W  0.667  0.333  0.334
S  0.000  0.000  0.265
S  0.000  0.000  0.402
S  0.667  0.333  0.573
S  0.667  0.333  0.709



[6]
Calculated X-ray diffraction stick pattern
Compound: Al2V3N
Radiation: Cu Kα (λ = 1.5418 Å)
Structure: a DFT-relaxed cell (PBE, Alexandria)
No peak broadening, texture or thermal motion is included.

Peak list (12 most intense, 2θ from 5° to 70°, sorted by position)
Position (°2θ)	d_spacing	I (rel.)
18.93	4.689	7
23.23	3.829	6
30.13	2.966	6
40.82	2.210	100
43.14	2.097	52
45.36	1.999	23
51.57	1.772	6
59.11	1.563	9
62.65	1.483	9
64.38	1.447	2
66.09	1.414	4
69.44	1.354	2

Structure:
a b c (Å): 6.631 6.631 6.631
angles (deg): 90.00 90.00 90.00
Element x y z (fractional)
Al  0.070  0.070  0.070
Al  0.180  0.820  0.320
Al  0.320  0.180  0.820
Al  0.430  0.930  0.570
Al  0.570  0.430  0.930
Al  0.680  0.680  0.680
Al  0.820  0.320  0.180
Al  0.930  0.570  0.430
V  0.043  0.875  0.707
V  0.125  0.207  0.457
V  0.207  0.457  0.125
V  0.293  0.543  0.625
V  0.375  0.793  0.957
V  0.457  0.125  0.207
V  0.543  0.625  0.293
V  0.625  0.293  0.543
V  0.707  0.043  0.875
V  0.793  0.957  0.375
V  0.875  0.707  0.043
V  0.957  0.375  0.793
N  0.125  0.625  0.875
N  0.375  0.375  0.375
N  0.625  0.875  0.125
N  0.875  0.125  0.625



[7]
Calculated X-ray diffraction stick pattern
Compound: Sc8Tc2Hg
Radiation: Cu Kα (λ = 1.5418 Å)
Structure: a DFT-relaxed cell (PBE, Alexandria)
No peak broadening, texture or thermal motion is included.

Peak list (12 most intense, 2θ from 5° to 70°, sorted by position)
Position (°2θ)	d_spacing	I (rel.)
22.64	3.927	48
22.80	3.900	56
25.70	3.467	40
33.48	2.677	21
33.62	2.666	19
36.44	2.466	46
36.85	2.439	23
37.97	2.370	100
43.42	2.084	21
43.69	2.072	34
45.84	1.980	36
59.95	1.543	19

Structure:
a b c (Å): 8.376 8.376 8.376
angles (deg): 145.76 58.24 134.41
Element x y z (fractional)
Sc  0.000  0.000  0.000
Sc  0.087  0.421  0.666
Sc  0.180  0.887  0.292
Sc  0.273  0.773  0.500
Sc  0.448  0.561  0.887
Sc  0.595  0.887  0.708
Sc  0.674  0.561  0.113
Sc  0.755  0.421  0.334
Tc  0.022  0.189  0.833
Tc  0.355  0.189  0.167
Hg  0.701  0.201  0.500



[8]
Calculated X-ray diffraction stick pattern
Compound: Nd3Zn2Ga
Radiation: Cu Kα (λ = 1.5418 Å)
Structure: a DFT-relaxed cell (PBE, Alexandria)
No peak broadening, texture or thermal motion is included.

Peak list (9 most intense, 2θ from 5° to 70°, sorted by position)
Position (°2θ)	d_spacing	I (rel.)
24.11	3.691	14
34.36	2.610	100
42.42	2.131	4
49.35	1.847	12
49.47	1.842	6
55.64	1.652	3
55.74	1.649	3
61.46	1.509	12
61.59	1.506	24

Structure:
a b c (Å): 8.268 8.268 3.685
angles (deg): 90.00 90.00 143.23
Element x y z (fractional)
Nd  0.000  0.000  0.000
Nd  0.334  0.666  0.000
Nd  0.666  0.334  0.000
Zn  0.170  0.830  0.500
Zn  0.830  0.170  0.500
Ga  0.500  0.500  0.500